Record 1
Calculated XRD peak list of RbSn2Br4 for Cu Kα, 1.54184 Å, from a crystal structure in Alexandria, relaxed with GGA-PBE.

Top 6 peaks for 15° ≤ 2θ ≤ 90°, in order of rising 2θ:
| index | 2θ/deg | Rel. int. |
| --- | --- | --- |
| 1 1 1 | 24.02 | 55 |
| 4 0 -2 | 27.46 | 37 |
| 3 1 1 | 31.03 | 100 |
| 5 1 -1 | 32.14 | 33 |
| 0 2 0 | 35.89 | 39 |
| 3 1 -3 | 40.99 | 45 |

Cell and atoms:
a b c (Å): 16.8137 5.0048 7.3693
angles (deg): 90.00 112.44 90.00
Fractional positions:
Rb1 0.0000 0.0000 0.0000
Rb2 0.5000 0.5000 0.0000
Sn1 0.2308 0.5000 0.7251
Sn2 0.2692 0.0000 0.2749
Sn3 0.7308 0.0000 0.7251
Sn4 0.7692 0.5000 0.2749
Br1 0.1442 0.0000 0.5144
Br2 0.1475 0.5000 0.0057
Br3 0.3525 0.0000 0.9943
Br4 0.3558 0.5000 0.4856
Br5 0.6442 0.5000 0.5144
Br6 0.6475 0.0000 0.0057
Br7 0.8525 0.5000 0.9943
Br8 0.8558 0.0000 0.4856

=====

Record 2
Calculated XRD peak list of CaCu3H for Cu Kα, 1.54184 Å, from a crystal structure in Alexandria, relaxed with GGA-PBE.

Top 6 peaks for 15° ≤ 2θ ≤ 90°, in order of rising 2θ:
| index | 2θ/deg | Rel. int. |
| --- | --- | --- |
| 1 0 0 | 21.67 | 4 |
| 1 1 1 | 38.00 | 100 |
| 2 0 0 | 44.16 | 49 |
| 2 2 0 | 64.23 | 29 |
| 3 1 1 | 77.13 | 32 |
| 2 2 2 | 81.25 | 9 |

Cell and atoms:
a b c (Å): 4.1015 4.1015 4.1015
angles (deg): 90.00 90.00 90.00
Fractional positions:
Ca1 0.0000 0.0000 0.0000
Cu1 0.0000 0.5000 0.5000
Cu2 0.5000 0.0000 0.5000
Cu3 0.5000 0.5000 0.0000
H1 0.5000 0.5000 0.5000

=====

Record 3
Calculated XRD peak list of La2PrSm for Cu Kα, 1.54184 Å, from a crystal structure in Alexandria, relaxed with GGA-PBE.

Top 6 peaks for 15° ≤ 2θ ≤ 90°, in order of rising 2θ:
| index | 2θ/deg | Rel. int. |
| --- | --- | --- |
| 2 1 0 | 28.46 | 24 |
| 0 2 1 | 29.10 | 30 |
| 0 0 4 | 29.75 | 38 |
| 2 1 1 | 31.30 | 100 |
| 0 2 3 | 36.11 | 20 |
| 2 1 5 | 53.79 | 21 |

Cell and atoms:
a b c (Å): 7.5647 6.3489 12.5904
angles (deg): 90.00 107.45 90.00
Fractional positions:
La1 0.0645 0.1648 0.1228
La2 0.0645 0.8352 0.6228
La3 0.1934 0.3333 0.8773
La4 0.1934 0.6667 0.3773
La5 0.8066 0.3333 0.6227
La6 0.8066 0.6667 0.1227
La7 0.9355 0.1648 0.3772
La8 0.9355 0.8352 0.8772
Pr1 0.3140 0.3358 0.6183
Pr2 0.3140 0.6642 0.1183
Pr3 0.6860 0.3358 0.8817
Pr4 0.6860 0.6642 0.3817
Sm1 0.4437 0.1633 0.3794
Sm2 0.4437 0.8367 0.8794
Sm3 0.5563 0.1633 0.1206
Sm4 0.5563 0.8367 0.6206

=====

Record 4
Calculated XRD peak list of Pr4CoPI2 for Cu Kα, 1.54184 Å, from a crystal structure in Alexandria, relaxed with GGA-PBE.

Top 6 peaks for 15° ≤ 2θ ≤ 90°, in order of rising 2θ:
| index | 2θ/deg | Rel. int. |
| --- | --- | --- |
| 2 0 -2 | 28.25 | 58 |
| 1 1 1 | 28.89 | 100 |
| 1 1 -2 | 31.39 | 29 |
| 0 0 3 | 34.01 | 23 |
| 1 1 -3 | 39.61 | 26 |
| 3 1 -1 | 42.05 | 43 |

Cell and atoms:
a b c (Å): 7.5822 4.0842 8.2468
angles (deg): 90.00 106.47 90.00
Fractional positions:
Pr1 0.2075 0.0000 0.1811
Pr2 0.2644 0.5000 0.8084
Pr3 0.7356 0.5000 0.1916
Pr4 0.7925 0.0000 0.8189
Co1 0.0000 0.5000 0.0000
P1 0.5000 0.0000 0.0000
I1 0.0000 0.0000 0.5000
I2 0.5000 0.5000 0.5000